Record 1
Structure and simulated powder diffraction line list of Ac2PrSe2O2 (a PBE-relaxed structure; Cu Kα X-rays).

Peak list (10 most intense, 10° ≤ 2θ ≤ 90°, low angle first)
25.41 deg, I = 51; 27.52 deg, I = 100; 33.71 deg, I = 67; 35.37 deg, I = 27; 39.31 deg, I = 47; 47.39 deg, I = 20; 52.73 deg, I = 38; 64.25 deg, I = 19; 66.20 deg, I = 17; 79.79 deg, I = 20

Atomic structure:
```
data_Ac2PrSe2O2
_cell_length_a 4.5842
_cell_length_b 4.5842
_cell_length_c 16.3206
_cell_angle_alpha 90.00
_cell_angle_beta 90.00
_cell_angle_gamma 90.00
_space_group_name_H-M_alt 'I 4/m m m'
_space_group_IT_number 139
_space_group_name_Hall '-I 4 2'
loop_
_atom_site_label
_atom_site_fract_x
_atom_site_fract_y
_atom_site_fract_z
Ac1 0.0000 0.0000 0.1297
Pr1 0.0000 0.0000 0.5000
Se1 0.0000 0.0000 0.3197
O1 0.0000 0.5000 0.0000
```



Record 2
Structure and simulated powder diffraction line list of AcPr2TeO8 (a PBE-relaxed structure; Cu Kα X-rays).

Peak list (10 most intense, 10° ≤ 2θ ≤ 90°, low angle first)
25.15 deg, I = 66; 26.67 deg, I = 59; 28.84 deg, I = 100; 31.46 deg, I = 53; 32.36 deg, I = 23; 41.16 deg, I = 24; 44.83 deg, I = 40; 46.67 deg, I = 32; 50.18 deg, I = 21; 55.61 deg, I = 31

Atomic structure:
```
data_AcPr2TeO8
_cell_length_a 4.3943
_cell_length_b 7.4692
_cell_length_c 5.5425
_cell_angle_alpha 90.00
_cell_angle_beta 93.37
_cell_angle_gamma 90.00
_space_group_name_H-M_alt 'P 1 2/m 1'
_space_group_IT_number 10
loop_
_space_group_symop_operation_xyz
'x,y,z'
'-x,-y,-z'
'-x,y,-z'
'x,-y,z'
loop_
_atom_site_label
_atom_site_fract_x
_atom_site_fract_y
_atom_site_fract_z
Ac1 0.0000 0.0000 0.0000
Pr1 0.5000 0.2524 0.5000
Te1 0.0000 0.5000 0.0000
O1 0.0672 0.3056 0.7645
O2 0.4007 0.5000 0.1730
O3 0.4808 0.0000 0.2558
```



Record 3
Structure and simulated powder diffraction line list of AcPr2TiO6 (a PBE-relaxed structure; Cu Kα X-rays).

Peak list (10 most intense, 10° ≤ 2θ ≤ 90°, low angle first)
15.97 deg, I = 16; 22.47 deg, I = 15; 27.69 deg, I = 100; 31.69 deg, I = 11; 32.27 deg, I = 33; 35.68 deg, I = 9; 45.86 deg, I = 28; 46.29 deg, I = 18; 54.03 deg, I = 11; 54.79 deg, I = 30

Atomic structure:
```
data_AcPr2TiO6
_cell_length_a 5.5479
_cell_length_b 5.5479
_cell_length_c 5.6473
_cell_angle_alpha 90.00
_cell_angle_beta 90.00
_cell_angle_gamma 90.00
_space_group_name_H-M_alt 'P 4 m m'
_space_group_IT_number 99
loop_
_space_group_symop_operation_xyz
'x,y,z'
'-y,x,z'
'-x,-y,z'
'y,-x,z'
'-x,y,z'
'y,x,z'
'x,-y,z'
'-y,-x,z'
loop_
_atom_site_label
_atom_site_fract_x
_atom_site_fract_y
_atom_site_fract_z
Ac1 0.0000 0.0000 0.0000
Pr1 0.0000 0.5000 0.4530
Ti1 0.5000 0.5000 0.0729
O1 0.0000 0.0000 0.5809
O2 0.2694 0.2694 0.2173
O3 0.5000 0.5000 0.7501
```



Record 4
Structure and simulated powder diffraction line list of Ac3PrTl2O (a PBE-relaxed structure; Cu Kα X-rays).

Peak list (10 most intense, 10° ≤ 2θ ≤ 90°, low angle first)
24.93 deg, I = 31; 26.87 deg, I = 93; 29.86 deg, I = 37; 30.56 deg, I = 40; 32.03 deg, I = 100; 35.40 deg, I = 39; 35.71 deg, I = 38; 46.97 deg, I = 22; 47.21 deg, I = 21; 51.16 deg, I = 28

Atomic structure:
```
data_Ac3PrTl2O
_cell_length_a 5.0291
_cell_length_b 5.0719
_cell_length_c 17.9533
_cell_angle_alpha 90.00
_cell_angle_beta 90.00
_cell_angle_gamma 90.00
_space_group_name_H-M_alt 'I m m m'
_space_group_IT_number 71
_space_group_name_Hall '-I 2 2'
loop_
_atom_site_label
_atom_site_fract_x
_atom_site_fract_y
_atom_site_fract_z
Ac1 0.0000 0.0000 0.0000
Ac2 0.0000 0.5000 0.1757
Pr1 0.0000 0.0000 0.5000
Tl1 0.0000 0.5000 0.3640
O1 0.0000 0.5000 0.0000
```



Record 5
Structure and simulated powder diffraction line list of Ac5Pt4O (a PBE-relaxed structure; Cu Kα X-rays).

Peak list (10 most intense, 10° ≤ 2θ ≤ 90°, low angle first)
28.81 deg, I = 50; 29.33 deg, I = 100; 41.58 deg, I = 77; 41.96 deg, I = 37; 51.69 deg, I = 40; 67.86 deg, I = 17; 68.68 deg, I = 17; 68.95 deg, I = 17; 75.61 deg, I = 13; 76.39 deg, I = 24

Atomic structure:
```
data_Ac5Pt4O
_cell_length_a 9.6301
_cell_length_b 9.6301
_cell_length_c 6.1982
_cell_angle_alpha 90.00
_cell_angle_beta 90.00
_cell_angle_gamma 90.00
_space_group_name_H-M_alt 'I 4'
_space_group_IT_number 79
loop_
_space_group_symop_operation_xyz
'x,y,z'
'-y,x,z'
'-x,-y,z'
'y,-x,z'
'x+1/2,y+1/2,z+1/2'
'-y+1/2,x+1/2,z+1/2'
'-x+1/2,-y+1/2,z+1/2'
'y+1/2,-x+1/2,z+1/2'
loop_
_atom_site_label
_atom_site_fract_x
_atom_site_fract_y
_atom_site_fract_z
Ac1 0.0000 0.0000 0.0000
Ac2 0.0964 0.7109 0.5479
Pt1 0.0973 0.7000 0.0483
O1 0.0000 0.0000 0.6142
```



Record 6
Structure and simulated powder diffraction line list of Ac2PtO4 (a PBE-relaxed structure; Cu Kα X-rays).

Peak list (10 most intense, 10° ≤ 2θ ≤ 90°, low angle first)
29.03 deg, I = 100; 30.56 deg, I = 38; 39.19 deg, I = 12; 43.76 deg, I = 21; 50.48 deg, I = 20; 53.37 deg, I = 39; 60.17 deg, I = 13; 81.54 deg, I = 8; 85.36 deg, I = 10; 87.64 deg, I = 10

Atomic structure:
```
data_Ac2PtO4
_cell_length_a 13.7973
_cell_length_b 5.8519
_cell_length_c 5.8507
_cell_angle_alpha 90.00
_cell_angle_beta 90.00
_cell_angle_gamma 90.00
_space_group_name_H-M_alt 'C m c e'
_space_group_IT_number 64
_space_group_name_Hall '-C 2ac 2'
loop_
_atom_site_label
_atom_site_fract_x
_atom_site_fract_y
_atom_site_fract_z
Ac1 0.1533 0.0000 0.0000
Pt1 0.0000 0.0000 0.5000
O1 0.0000 0.1972 0.1972
O2 0.2500 0.2450 0.7500
```